The following is a computed powder diffraction line list of PuTh6Tl5. It was derived from the GGA-PBE geometry in Alexandria, using Cu Kα, 1.54184 Å.
Neutral-atom scattering factors, no anomalous dispersion.

Top 8 peaks for 10° ≤ 2θ ≤ 90°, low angle first:
(2 0 0), 2θ 31.4, intensity 58; (1 3 2), 2θ 33.3, intensity 100; (2 6 0), 2θ 44.9, intensity 22; (0 0 4), 2θ 50.4, intensity 8; (3 3 2), 2θ 57.0, intensity 44; (2 0 4), 2θ 60.6, intensity 19; (2 6 4), 2θ 69.8, intensity 12; (3 9 2), 2θ 75.4, intensity 10

Structure:
a = 5.6996 Å, b = 17.1412 Å, c = 7.2389 Å
α = 90.00°, β = 90.00°, γ = 90.00°
Space group Cmmm (No. 65)
Symmetry-distinct sites (fractional):
Pu: 0.0000 0.0000 0.0000
Th: 0.0000 0.1651 0.2494
Th: 0.0000 0.5000 0.2509
Tl: 0.0000 0.0000 0.5000
Tl: 0.0000 0.3310 0.5000
Tl: 0.0000 0.3366 0.0000

---

The following is a computed powder diffraction line list of TmPuTh4. It was derived from the GGA-PBE geometry in Alexandria, using Cu Kα, 1.54184 Å.
Neutral-atom scattering factors, no anomalous dispersion.

Top 8 peaks for 10° ≤ 2θ ≤ 90°, low angle first:
(2 0 -2), 2θ 30.2, intensity 62; (0 2 0), 2θ 30.5, intensity 65; (1 1 2), 2θ 32.9, intensity 100; (3 1 0), 2θ 33.4, intensity 98; (2 2 -2), 2θ 43.4, intensity 47; (1 1 -4), 2θ 55.1, intensity 22; (1 3 2), 2θ 55.7, intensity 23; (3 3 0), 2θ 56.0, intensity 46

Structure:
a = 9.1605 Å, b = 5.8686 Å, c = 6.9636 Å
α = 90.00°, β = 98.38°, γ = 90.00°
Space group C2/m (No. 12)
Symmetry-distinct sites (fractional):
Tm: 0.0000 0.0000 0.0000
Pu: 0.0000 0.0000 0.5000
Th: 0.1677 0.5000 0.6473
Th: 0.1700 0.5000 0.1589

---

The following is a computed powder diffraction line list of PuThU. It was derived from the GGA-PBE geometry in Alexandria, using Cu Kα, 1.54184 Å.
Neutral-atom scattering factors, no anomalous dispersion.

Top 8 peaks for 10° ≤ 2θ ≤ 90°, low angle first:
(0 1 1), 2θ 14.1, intensity 47; (1 1 1), 2θ 28.6, intensity 45; (0 0 4), 2θ 32.9, intensity 85; (1 2 1), 2θ 35.2, intensity 100; (0 3 2), 2θ 38.9, intensity 32; (1 2 3), 2θ 42.5, intensity 38; (1 3 3), 2θ 50.5, intensity 34; (1 2 5), 2θ 54.8, intensity 41

Structure:
a = 3.5923 Å, b = 7.6782 Å, c = 10.8833 Å
α = 90.00°, β = 90.00°, γ = 90.00°
Space group P2_12_12_1 (No. 19)
Symmetry-distinct sites (fractional):
Pu: 0.1922 0.1836 0.1188
Th: 0.1197 0.3312 0.3728
U: 0.1885 0.1040 0.8924

---

The following is a computed powder diffraction line list of Y12PuTh5. It was derived from the GGA-PBE geometry in Alexandria, using Cu Kα, 1.54184 Å.
Neutral-atom scattering factors, no anomalous dispersion.

Top 8 peaks for 10° ≤ 2θ ≤ 90°, low angle first:
(0 0 2), 2θ 10.2, intensity 87; (1 3 -1), 2θ 29.0, intensity 32; (1 3 1), 2θ 29.6, intensity 55; (0 0 6), 2θ 31.1, intensity 63; (2 0 2), 2θ 32.0, intensity 100; (2 0 -4), 2θ 33.7, intensity 92; (0 6 0), 2θ 51.0, intensity 48; (3 3 5), 2θ 61.0, intensity 55

Structure:
a = 6.2017 Å, b = 10.7354 Å, c = 17.3896 Å
α = 90.00°, β = 96.85°, γ = 90.00°
Space group C2/m (No. 12)
Symmetry-distinct sites (fractional):
Y: 0.1114 0.1658 0.3354
Y: 0.1136 0.5000 0.3354
Y: 0.2217 0.0000 0.1630
Y: 0.2215 0.3333 0.1632
Pu: 0.0000 0.0000 0.5000
Th: 0.0000 0.1668 0.0000
Th: 0.0000 0.3333 0.5000
Th: 0.0000 0.5000 0.0000